No. 1
This entry pairs a crystal structure of Ac12Pm2Pr5 with its theoretical powder X-ray diffraction pattern. Radiation: Cu Kα. Structure: a GGA-PBE-relaxed structure.
Kinematic intensities with the Lorentz-polarization factor, no thermal factor.

Principal peaks in the range 10 to 80 degrees two-theta, sorted by position:
2θ (°)  d (Å)  Rel. int.
25.6  3.486  69
27.8  3.208  100
28.3  3.156  45
28.7  3.108  99
30.0  2.976  73
30.3  2.948  84
31.2  2.869  69
32.4  2.762  39
38.2  2.357  38
48.2  1.888  29

```
Ac12Pm2Pr5
1.0
9.3131 -3.7761 0.0000
9.3131 3.7761 0.0000
-2.7904 0.0000 11.5019
Ac Pm Pr
12 2 5
direct
0.0450 0.5631 0.8821 Ac
0.0650 0.0650 0.3185 Ac
0.0700 0.5666 0.4122 Ac
0.3932 0.3932 0.1752 Ac
0.4334 0.9300 0.5878 Ac
0.4369 0.9550 0.1179 Ac
0.5631 0.0450 0.8821 Ac
0.5666 0.0700 0.4122 Ac
0.6068 0.6068 0.8248 Ac
0.9300 0.4334 0.5878 Ac
0.9350 0.9350 0.6815 Ac
0.9550 0.4369 0.1179 Ac
0.2334 0.7666 0.0000 Pm
0.7666 0.2334 0.0000 Pm
0.1252 0.1252 0.8381 Pr
0.3950 0.3950 0.7051 Pr
0.5000 0.5000 0.5000 Pr
0.6050 0.6050 0.2949 Pr
0.8748 0.8748 0.1619 Pr
```


No. 2
This entry pairs a crystal structure of KCdAg2F8 with its theoretical powder X-ray diffraction pattern. Radiation: Cu Kα. Structure: a GGA-PBE-relaxed structure.
Kinematic intensities with the Lorentz-polarization factor, no thermal factor.

Principal peaks in the range 10 to 80 degrees two-theta, sorted by position:
2θ (°)  d (Å)  Rel. int.
17.2  5.153  20
27.5  3.238  100
29.7  3.008  38
36.0  2.497  30
42.5  2.127  19
47.3  1.921  21
51.4  1.778  56
56.9  1.619  15
59.6  1.550  11
76.0  1.253  16

```
KCdAg2F8
1.0
-3.0081 3.0081 4.9935
3.0081 -3.0081 4.9935
3.0081 3.0081 -4.9935
K Cd Ag F
1 1 2 8
direct
0.0000 0.0000 0.0000 K
0.2500 0.7500 0.5000 Cd
0.5000 0.5000 0.0000 Ag
0.7500 0.2500 0.5000 Ag
0.0436 0.4120 0.9891 F
0.1931 0.4403 0.6119 F
0.4188 0.8069 0.2472 F
0.4229 0.0545 0.0109 F
0.5597 0.1716 0.7528 F
0.5880 0.5771 0.6316 F
0.8284 0.5812 0.3881 F
0.9455 0.9564 0.3684 F
```


No. 3
This entry pairs a crystal structure of PmVS with its theoretical powder X-ray diffraction pattern. Radiation: Cu Kα. Structure: a GGA-PBE-relaxed structure.
Kinematic intensities with the Lorentz-polarization factor, no thermal factor.

Principal peaks in the range 10 to 80 degrees two-theta, sorted by position:
2θ (°)  d (Å)  Rel. int.
29.6  3.022  100
32.7  2.735  38
35.1  2.560  52
37.1  2.422  26
38.8  2.323  32
41.3  2.185  55
47.0  1.934  42
56.5  1.629  33
61.3  1.512  31
62.3  1.490  22

```
PmVS
1.0
3.8678 0.0000 0.0000
0.0000 3.8678 0.0000
0.0000 0.0000 14.5310
Pm V S
4 4 4
direct
0.0000 0.0000 0.1670 Pm
0.0000 0.0000 0.8330 Pm
0.5000 0.5000 0.3330 Pm
0.5000 0.5000 0.6670 Pm
0.0000 0.5000 0.0000 V
0.0000 0.5000 0.5000 V
0.5000 0.0000 0.0000 V
0.5000 0.0000 0.5000 V
0.0000 0.0000 0.3895 S
0.0000 0.0000 0.6105 S
0.5000 0.5000 0.1105 S
0.5000 0.5000 0.8895 S
```


No. 4
This entry pairs a crystal structure of Ca3Al8Pt3 with its theoretical powder X-ray diffraction pattern. Radiation: Cu Kα. Structure: a GGA-PBE-relaxed structure.
Kinematic intensities with the Lorentz-polarization factor, no thermal factor.

Principal peaks in the range 10 to 80 degrees two-theta, sorted by position:
2θ (°)  d (Å)  Rel. int.
11.9  7.410  100
22.2  3.998  57
22.8  3.907  44
23.7  3.747  56
26.1  3.418  50
28.7  3.114  98
29.0  3.082  81
34.0  2.636  43
40.5  2.227  51
45.3  2.001  40

```
Ca3Al8Pt3
1.0
7.9083 -2.2272 0.0000
7.9083 2.2272 0.0000
-5.1155 0.0000 7.4932
Ca Al Pt
3 8 3
direct
0.0000 0.0000 0.0000 Ca
0.2856 0.2856 0.2935 Ca
0.7144 0.7144 0.7065 Ca
0.1337 0.1337 0.4238 Al
0.1469 0.1469 0.8551 Al
0.3473 0.3473 0.7201 Al
0.4946 0.4946 0.3283 Al
0.5054 0.5054 0.6716 Al
0.6527 0.6527 0.2799 Al
0.8531 0.8531 0.1449 Al
0.8663 0.8663 0.5762 Al
0.0000 0.0000 0.5000 Pt
0.3451 0.3451 0.9991 Pt
0.6549 0.6549 0.0009 Pt
```


No. 5
This entry pairs a crystal structure of Pr2InPb5 with its theoretical powder X-ray diffraction pattern. Radiation: Cu Kα. Structure: a GGA-PBE-relaxed structure.
Kinematic intensities with the Lorentz-polarization factor, no thermal factor.

Principal peaks in the range 10 to 80 degrees two-theta, sorted by position:
2θ (°)  d (Å)  Rel. int.
31.6  2.835  100
36.1  2.489  18
36.9  2.439  33
52.5  1.742  24
53.1  1.724  12
62.1  1.495  15
63.1  1.473  28
65.9  1.417  12
76.6  1.244  2
78.4  1.219  4

```
Pr2InPb5
1.0
6.8925 0.0000 0.0000
0.0000 13.8044 0.0000
0.0000 0.0000 4.9780
Pr In Pb
4 2 10
direct
0.2436 0.1262 0.0000 Pr
0.2564 0.6262 0.0000 Pr
0.7436 0.3738 0.0000 Pr
0.7564 0.8738 0.0000 Pr
0.0000 0.5000 0.5000 In
0.5000 0.0000 0.5000 In
0.0000 0.0000 0.5000 Pb
0.0029 0.7472 0.5000 Pb
0.2431 0.3773 0.0000 Pb
0.2569 0.8773 0.0000 Pb
0.4971 0.2472 0.5000 Pb
0.5000 0.5000 0.5000 Pb
0.5029 0.7528 0.5000 Pb
0.7431 0.1227 0.0000 Pb
0.7569 0.6227 0.0000 Pb
0.9971 0.2528 0.5000 Pb
```